Diffraction record for MnCd3Re. The X-ray powder pattern is computed, not measured: it uses DFT lattice parameters and positions (GGA-PBE) and Cu Kα (weighted mean of Kα1 and Kα2).
Kinematic intensities with the Lorentz-polarization factor, no thermal factor.

Top 10 peaks for 15 to 90 degrees two-theta, in order of rising 2θ:
d [Å]  2theta  intensity  h k l
3.518  25.3  18  1 1 0
2.873  31.1  100  1 1 1
2.488  36.1  77  2 0 0
2.031  44.6  8  2 1 1
1.759  52.0  53  2 2 0
1.500  61.8  41  3 1 1
1.436  64.9  18  2 2 2
1.244  76.6  8  4 0 0
1.141  85.0  17  3 3 1
1.113  87.7  24  4 2 0

Atomic structure:
```
data_MnCd3Re
_chemical_formula_sum 'Mn1 Cd3 Re1'
_cell_length_a 4.975
_cell_length_b 4.975
_cell_length_c 4.975
_cell_angle_alpha 90.00
_cell_angle_beta 90.00
_cell_angle_gamma 90.00
_symmetry_space_group_name_H-M 'P m -3 m'
_symmetry_Int_Tables_number 221
_symmetry_space_group_name_Hall '-P 4 2 3'
loop_
_atom_site_label
_atom_site_type_symbol
_atom_site_fract_x
_atom_site_fract_y
_atom_site_fract_z
Mn1 Mn 0.000 0.000 0.000
Cd1 Cd 0.000 0.000 0.500
Re1 Re 0.500 0.500 0.500
```